No. 1
Structure and theoretical powder X-ray diffraction pattern of PmGaPt2 (a cell relaxed with GGA-PBE; Cu Kα (λ = 1.5418 Å)).
Neutral-atom scattering factors, no anomalous dispersion.

Crystal structure
```
data_PmGaPt2
_chemical_formula_sum 'Pm4 Ga4 Pt8'
_cell_length_a 7.4812
_cell_length_b 7.1765
_cell_length_c 5.7384
_cell_angle_alpha 90.00
_cell_angle_beta 90.00
_cell_angle_gamma 90.00
_space_group_name_H-M_alt 'P n m a'
_space_group_IT_number 62
_space_group_name_Hall '-P 2ac 2n'
loop_
_atom_site_label
_atom_site_type_symbol
_atom_site_fract_x
_atom_site_fract_y
_atom_site_fract_z
Pm1 Pm 0.0284 0.2500 0.1440
Ga1 Ga 0.1181 0.7500 0.3567
Pt1 Pt 0.1823 0.0525 0.5858
```

Main lines, by angle (10 to 80 degrees two-theta):
| h k l | Position (°2θ) | intensity |
| --- | --- | --- |
| 2 1 1 | 31.1 | 54 |
| 1 2 1 | 31.8 | 53 |
| 1 0 2 | 33.4 | 71 |
| 2 2 0 | 34.6 | 95 |
| 1 1 2 | 35.8 | 84 |
| 2 2 1 | 38.1 | 57 |
| 3 0 1 | 39.4 | 100 |
| 1 2 2 | 42.1 | 67 |
| 1 3 1 | 42.7 | 80 |
| 3 3 2 | 62.8 | 36 |

---

No. 2
Structure and theoretical powder X-ray diffraction pattern of ReGe4W (a cell relaxed with GGA-PBE; Cu Kα (λ = 1.5418 Å)).
Neutral-atom scattering factors, no anomalous dispersion.

Crystal structure
```
data_ReGe4W
_chemical_formula_sum 'Re2 Ge8 W2'
_cell_length_a 4.8460
_cell_length_b 7.1751
_cell_length_c 6.8258
_cell_angle_alpha 90.00
_cell_angle_beta 90.00
_cell_angle_gamma 90.00
_space_group_name_H-M_alt 'P n c 2'
_space_group_IT_number 30
_space_group_name_Hall 'P 2 -2bc'
loop_
_atom_site_label
_atom_site_type_symbol
_atom_site_fract_x
_atom_site_fract_y
_atom_site_fract_z
Re1 Re 0.0000 0.0000 0.0000
Ge1 Ge 0.1307 0.2455 0.7554
Ge2 Ge 0.3668 0.7422 0.9732
W1 W 0.5000 0.0000 0.2157
```

Main lines, by angle (10 to 80 degrees two-theta):
| h k l | Position (°2θ) | intensity |
| --- | --- | --- |
| 0 1 1 | 17.9 | 99 |
| 1 1 1 | 25.7 | 61 |
| 1 1 2 | 34.5 | 25 |
| 2 1 0 | 39.2 | 16 |
| 0 3 1 | 39.9 | 16 |
| 1 2 2 | 41.0 | 100 |
| 2 1 1 | 41.5 | 26 |
| 2 2 0 | 45.2 | 19 |
| 1 1 3 | 45.8 | 27 |
| 0 4 0 | 50.9 | 19 |

---

No. 3
Structure and theoretical powder X-ray diffraction pattern of Pm7SnS5 (a cell relaxed with GGA-PBE; Cu Kα (λ = 1.5418 Å)).
Neutral-atom scattering factors, no anomalous dispersion.

Crystal structure
```
data_Pm7SnS5
_chemical_formula_sum 'Pm28 Sn4 S20'
_cell_length_a 4.1157
_cell_length_b 13.2906
_cell_length_c 24.1282
_cell_angle_alpha 90.00
_cell_angle_beta 90.00
_cell_angle_gamma 90.00
_space_group_name_H-M_alt 'C m c m'
_space_group_IT_number 63
_space_group_name_Hall '-C 2c 2'
loop_
_atom_site_label
_atom_site_type_symbol
_atom_site_fract_x
_atom_site_fract_y
_atom_site_fract_z
Pm1 Pm 0.0000 0.0241 0.2500
Pm2 Pm 0.0000 0.1357 0.5364
Pm3 Pm 0.0000 0.3240 0.1726
Pm4 Pm 0.0000 0.4066 0.6104
Sn1 Sn 0.0000 0.2995 0.7500
S1 S 0.0000 0.0429 0.6404
S2 S 0.0000 0.2275 0.0698
S3 S 0.0000 0.5000 0.0000
```

Main lines, by angle (10 to 80 degrees two-theta):
| h k l | Position (°2θ) | intensity |
| --- | --- | --- |
| 1 1 4 | 27.1 | 64 |
| 0 2 7 | 29.2 | 100 |
| 1 1 5 | 29.3 | 34 |
| 1 3 2 | 30.6 | 97 |
| 1 3 3 | 31.7 | 65 |
| 1 1 9 | 40.7 | 20 |
| 2 0 0 | 44.0 | 55 |
| 1 5 5 | 44.7 | 29 |
| 0 6 5 | 45.0 | 19 |
| 2 2 7 | 53.7 | 42 |

---

- Which formula does entry 2 have?
  ReGe4W